[1]
Structure and theoretical X-ray powder pattern of CeSi3N5 (a DFT-relaxed cell (PBE, the Materials Project); Cu Kα (weighted mean of Kα1 and Kα2)).
Intensities are scaled so that the largest is 100.

Atomic structure:
Lattice parameters (Å, degrees): 4.8158 7.8813 11.3149 90.00 90.00 90.00
Sites, in units of the cell vectors:
Ce  0.0037  0.0595  0.1703
Ce  0.4963  0.9405  0.6703
Ce  0.5037  0.4405  0.8297
Ce  0.9963  0.5595  0.3297
Si  0.0143  0.1619  0.8394
Si  0.0166  0.2932  0.5833
Si  0.0234  0.4671  0.0409
Si  0.4766  0.5329  0.5409
Si  0.4834  0.7068  0.0833
Si  0.4857  0.8381  0.3394
Si  0.5143  0.3381  0.1606
Si  0.5166  0.2068  0.4167
Si  0.5234  0.0329  0.9591
Si  0.9766  0.9671  0.4591
Si  0.9834  0.7932  0.9167
Si  0.9857  0.6619  0.6606
N  0.0470  0.3425  0.9203
N  0.1657  0.2062  0.7052
N  0.1704  0.3901  0.1682
N  0.1846  0.9816  0.9069
N  0.2037  0.6499  0.9897
N  0.2963  0.3501  0.4897
N  0.3154  0.0184  0.4069
N  0.3296  0.6099  0.6682
N  0.3343  0.7938  0.2052
N  0.4530  0.6575  0.4203
N  0.5470  0.1575  0.0797
N  0.6657  0.2938  0.2948
N  0.6704  0.1099  0.8318
N  0.6846  0.5184  0.0931
N  0.7037  0.8501  0.0103
N  0.7963  0.1499  0.5103
N  0.8154  0.4816  0.5931
N  0.8296  0.8901  0.3318
N  0.8343  0.7062  0.7948
N  0.9530  0.8425  0.5797

Principal peaks in the range 10° ≤ 2θ ≤ 80°, most intense first:
Position (°2θ)	Rel. int.
32.2	100
30.4	71
20.0	37
42.3	33
51.1	31
33.7	29
37.3	25
33.4	24
19.3	23
57.4	23
26.2	21
41.9	17

[2]
Structure and theoretical X-ray powder pattern of SrCeN2 (a DFT-relaxed cell (PBE, the Materials Project); Cu Kα (weighted mean of Kα1 and Kα2)).
Intensities are scaled so that the largest is 100.

Atomic structure:
Lattice parameters (Å, degrees): 3.7085 3.7085 5.0037 90.00 90.00 90.00
Sites, in units of the cell vectors:
Sr  0.0000  0.0000  0.0000
Ce  0.5000  0.5000  0.5000
N  0.0000  0.0000  0.5000
N  0.5000  0.5000  0.0000

Principal peaks in the range 10° ≤ 2θ ≤ 80°, most intense first:
Position (°2θ)	Rel. int.
30.0	100
34.2	58
50.4	37
58.6	32
35.9	25
49.1	20
62.3	19
60.9	14
79.9	7
72.0	6
17.7	6
24.0	6

[3]
Structure and theoretical X-ray powder pattern of SrCeN2 (a DFT-relaxed cell (PBE, the Materials Project); Cu Kα (weighted mean of Kα1 and Kα2)).
Intensities are scaled so that the largest is 100.

Atomic structure:
Lattice parameters (Å, degrees): 5.2131 5.2195 6.3417 65.76 65.84 90.00
Sites, in units of the cell vectors:
Sr  0.0000  0.0000  0.0000
Sr  0.2516  0.7509  0.4995
Ce  0.5047  0.4969  0.0002
Ce  0.7474  0.2495  0.5005
N  0.2873  0.2813  0.4400
N  0.5294  0.0432  0.9403
N  0.7210  0.7260  0.5608
N  0.9592  0.4715  0.0616

Principal peaks in the range 10° ≤ 2θ ≤ 80°, most intense first:
Position (°2θ)	Rel. int.
29.8	100
34.4	55
49.6	26
34.7	25
58.7	23
49.4	19
59.2	13
19.1	12
61.9	9
61.8	9
49.7	9
58.8	8

[4]
Structure and theoretical X-ray powder pattern of SrCeN2 (a DFT-relaxed cell (PBE, the Materials Project); Cu Kα (weighted mean of Kα1 and Kα2)).
Intensities are scaled so that the largest is 100.

Atomic structure:
Lattice parameters (Å, degrees): 6.3441 6.3441 5.2131 114.15 114.15 48.58
Sites, in units of the cell vectors:
Sr  0.1246  0.1246  0.3742
Sr  0.8754  0.8754  0.6258
Ce  0.3741  0.3746  0.1216
Ce  0.6254  0.6259  0.8784
N  0.1622  0.1494  0.9048
N  0.4085  0.4039  0.6666
N  0.5961  0.5915  0.3334
N  0.8506  0.8378  0.0952

Principal peaks in the range 10° ≤ 2θ ≤ 80°, most intense first:
Position (°2θ)	Rel. int.
29.8	100
34.4	55
49.6	26
34.7	25
58.7	23
49.4	19
59.2	17
19.1	12
61.9	9
61.8	9
49.7	9
58.8	8

[5]
Structure and theoretical X-ray powder pattern of SrCeN2 (a DFT-relaxed cell (PBE, the Materials Project); Cu Kα (weighted mean of Kα1 and Kα2)).
Intensities are scaled so that the largest is 100.

Atomic structure:
Lattice parameters (Å, degrees): 6.3644 6.3644 6.3644 33.38 33.38 33.38
Sites, in units of the cell vectors:
Sr  0.0000  0.0000  0.0000
Ce  0.5000  0.5000  0.5000
N  0.2354  0.2354  0.2354
N  0.7646  0.7646  0.7646

Principal peaks in the range 10° ≤ 2θ ≤ 80°, most intense first:
Position (°2θ)	Rel. int.
34.6	100
29.9	92
59.2	43
49.9	35
49.7	33
29.8	32
62.2	17
59.0	15
14.8	15
73.1	10
28.6	6
61.8	5